Sm2S3: theoretical powder XRD pattern (CuKα), based on the GGA-PBE geometry in the Materials Project.
Peak positions follow from Bragg's law for the DFT cell and can differ from measured ones.

Peak list (8 most intense, 10° ≤ 2θ ≤ 90°, in order of rising 2θ)
| d (Å) | intensity |
| --- | --- |
| 3.463 | 100 |
| 2.683 | 98 |
| 2.267 | 62 |
| 1.898 | 26 |
| 1.809 | 25 |
| 1.665 | 16 |
| 1.377 | 14 |
| 1.155 | 15 |

Cell: 14.0478 14.0478 14.0478 Å, 144.81 144.81 50.62°
Fractional coordinates of all 40 atoms:
Sm 0.0475 0.1516 0.6207
Sm 0.1659 0.1659 0.0000
Sm 0.1768 0.7809 0.8793
Sm 0.2191 0.0984 0.3959
Sm 0.2555 0.6250 0.1305
Sm 0.3750 0.5055 0.6305
Sm 0.4945 0.1250 0.8695
Sm 0.5309 0.4268 0.3793
Sm 0.5732 0.9525 0.1041
Sm 0.5841 0.0841 0.5000
Sm 0.7025 0.8232 0.6041
Sm 0.8341 0.8341 0.0000
Sm 0.8484 0.4691 0.8959
Sm 0.8750 0.7445 0.3695
Sm 0.9016 0.2975 0.1207
Sm 0.9159 0.4159 0.5000
S 0.0037 0.7567 0.8936
S 0.0724 0.4631 0.2455
S 0.1731 0.9276 0.3907
S 0.1864 0.4369 0.0903
S 0.1869 0.4364 0.5903
S 0.2131 0.3224 0.7455
S 0.2176 0.8269 0.7545
S 0.2433 0.1369 0.2471
S 0.3466 0.0961 0.9097
S 0.4034 0.8131 0.2495
S 0.5067 0.2537 0.3936
S 0.5324 0.7869 0.1093
S 0.5369 0.7824 0.6093
S 0.5631 0.6534 0.7495
S 0.5636 0.1539 0.7505
S 0.5769 0.4676 0.2545
S 0.6776 0.4231 0.8907
S 0.7463 0.1399 0.2529
S 0.8461 0.5966 0.4097
S 0.8601 0.1131 0.6064
S 0.8631 0.1101 0.1064
S 0.8869 0.4933 0.7471
S 0.8899 0.9963 0.7529
S 0.9039 0.8136 0.2505



Mg14SnC: theoretical powder XRD pattern (CuKα), based on the GGA-PBE geometry in the Materials Project.
Peak positions follow from Bragg's law for the DFT cell and can differ from measured ones.

Peak list (8 most intense, 10° ≤ 2θ ≤ 90°, in order of rising 2θ)
| d (Å) | intensity |
| --- | --- |
| 5.904 | 29 |
| 5.072 | 42 |
| 3.795 | 25 |
| 2.604 | 24 |
| 2.536 | 100 |
| 2.477 | 27 |
| 1.793 | 24 |
| 1.441 | 14 |

Cell: 9.9060 6.3217 6.3217 Å, 69.06 90.00 90.00°
Fractional coordinates of all 16 atoms:
Mg 0.0000 0.0000 0.0000
Mg 0.0000 0.0131 0.4825
Mg 0.0000 0.4825 0.0131
Mg 0.0000 0.4990 0.4990
Mg 0.2360 0.8110 0.8110
Mg 0.2533 0.3179 0.7891
Mg 0.2533 0.7891 0.3179
Mg 0.2807 0.2999 0.2999
Mg 0.5000 0.5650 0.9779
Mg 0.5000 0.9779 0.5650
Mg 0.7193 0.2999 0.2999
Mg 0.7467 0.3179 0.7891
Mg 0.7467 0.7891 0.3179
Mg 0.7640 0.8110 0.8110
Sn 0.5000 0.0265 0.0265
C 0.5000 0.2465 0.2465



Ba3ZrNb4O15: theoretical powder XRD pattern (CuKα), based on the GGA-PBE geometry in the Materials Project.
Peak positions follow from Bragg's law for the DFT cell and can differ from measured ones.

Peak list (8 most intense, 10° ≤ 2θ ≤ 90°, in order of rising 2θ)
| d (Å) | intensity |
| --- | --- |
| 3.562 | 27 |
| 3.364 | 72 |
| 3.115 | 68 |
| 3.064 | 32 |
| 2.903 | 100 |
| 2.872 | 38 |
| 2.075 | 32 |
| 1.727 | 24 |

Cell: 12.8430 12.8430 4.1507 Å, 90.00 90.00 90.00°
Fractional coordinates of all 46 atoms:
Ba 0.0000 0.0000 0.0000
Ba 0.1694 0.3306 0.0021
Ba 0.3306 0.8306 0.0021
Ba 0.5000 0.5000 0.0000
Ba 0.6694 0.1694 0.0021
Ba 0.8306 0.6694 0.0021
Zr 0.0000 0.5000 0.4824
Zr 0.5000 0.0000 0.4824
Nb 0.0759 0.7873 0.5198
Nb 0.2127 0.0759 0.5198
Nb 0.2873 0.5759 0.5198
Nb 0.4241 0.2873 0.5198
Nb 0.5759 0.7127 0.5198
Nb 0.7127 0.4241 0.5198
Nb 0.7873 0.9241 0.5198
Nb 0.9241 0.2127 0.5198
O 0.0000 0.5000 0.9774
O 0.0107 0.3349 0.4737
O 0.0663 0.1368 0.4727
O 0.0815 0.7956 0.9715
O 0.1368 0.9337 0.4727
O 0.1651 0.4893 0.4737
O 0.2044 0.0815 0.9715
O 0.2187 0.7187 0.4734
O 0.2813 0.2187 0.4734
O 0.2956 0.5815 0.9715
O 0.3349 0.9893 0.4737
O 0.3632 0.4337 0.4727
O 0.4185 0.2956 0.9715
O 0.4337 0.6368 0.4727
O 0.4893 0.8349 0.4737
O 0.5000 0.0000 0.9774
O 0.5107 0.1651 0.4737
O 0.5663 0.3632 0.4727
O 0.5815 0.7044 0.9715
O 0.6368 0.5663 0.4727
O 0.6651 0.0107 0.4737
O 0.7044 0.4185 0.9715
O 0.7187 0.7813 0.4734
O 0.7813 0.2813 0.4734
O 0.7956 0.9185 0.9715
O 0.8349 0.5107 0.4737
O 0.8632 0.0663 0.4727
O 0.9185 0.2044 0.9715
O 0.9337 0.8632 0.4727
O 0.9893 0.6651 0.4737



Pb2SeS: theoretical powder XRD pattern (CuKα), based on the GGA-PBE geometry in the Materials Project.
Peak positions follow from Bragg's law for the DFT cell and can differ from measured ones.

Peak list (8 most intense, 10° ≤ 2θ ≤ 90°, in order of rising 2θ)
| d (Å) | intensity |
| --- | --- |
| 3.534 | 59 |
| 3.060 | 100 |
| 2.164 | 76 |
| 1.845 | 32 |
| 1.767 | 27 |
| 1.404 | 13 |
| 1.369 | 35 |
| 1.249 | 26 |

Cell: 4.3285 4.3285 21.1956 Å, 90.00 90.00 120.00°
Fractional coordinates of all 12 atoms:
Pb 0.0000 0.0000 0.2472
Pb 0.0000 0.0000 0.7528
Pb 0.3333 0.6667 0.4195
Pb 0.3333 0.6667 0.9138
Pb 0.6667 0.3333 0.0862
Pb 0.6667 0.3333 0.5805
Se 0.0000 0.0000 0.0000
Se 0.3333 0.6667 0.6667
Se 0.6667 0.3333 0.3333
S 0.0000 0.0000 0.5000
S 0.3333 0.6667 0.1667
S 0.6667 0.3333 0.8333



SmMgAu: theoretical powder XRD pattern (CuKα), based on the GGA-PBE geometry in the Materials Project.
Peak positions follow from Bragg's law for the DFT cell and can differ from measured ones.

Peak list (8 most intense, 10° ≤ 2θ ≤ 90°, in order of rising 2θ)
| d (Å) | intensity |
| --- | --- |
| 3.894 | 57 |
| 3.507 | 31 |
| 2.826 | 64 |
| 2.606 | 100 |
| 2.248 | 43 |
| 2.166 | 40 |
| 1.516 | 25 |
| 1.448 | 28 |

Cell: 7.7889 7.7889 4.1062 Å, 90.00 90.00 120.00°
Fractional coordinates of all 9 atoms:
Sm 0.0000 0.5896 0.0000
Sm 0.4104 0.4104 0.0000
Sm 0.5896 0.0000 0.0000
Mg 0.0000 0.2458 0.5000
Mg 0.2458 0.0000 0.5000
Mg 0.7542 0.7542 0.5000
Au 0.0000 0.0000 0.0000
Au 0.3333 0.6667 0.5000
Au 0.6667 0.3333 0.5000



K2ZnP4H8O16: theoretical powder XRD pattern (CuKα), based on the GGA-PBE geometry in the Materials Project.
Peak positions follow from Bragg's law for the DFT cell and can differ from measured ones.

Peak list (8 most intense, 10° ≤ 2θ ≤ 90°, in order of rising 2θ)
| d (Å) | intensity |
| --- | --- |
| 7.249 | 74 |
| 4.845 | 100 |
| 3.693 | 73 |
| 3.662 | 58 |
| 3.432 | 52 |
| 3.231 | 70 |
| 2.941 | 56 |
| 2.568 | 55 |

Cell: 6.9173 7.4354 7.6086 Å, 81.01 73.96 83.55°
Fractional coordinates of all 31 atoms:
K 0.1078 0.2352 0.2974
K 0.8922 0.7648 0.7026
Zn 0.5000 0.0000 0.5000
P 0.2525 0.3126 0.7567
P 0.3202 0.7735 0.2445
P 0.6798 0.2265 0.7555
P 0.7475 0.6874 0.2433
H 0.0480 0.7745 0.0750
H 0.2488 0.5455 0.4654
H 0.3768 0.8318 0.8553
H 0.3913 0.6892 0.7155
H 0.6087 0.3108 0.2845
H 0.6232 0.1682 0.1447
H 0.7512 0.4545 0.5346
H 0.9520 0.2255 0.9250
O 0.0743 0.2881 0.9371
O 0.2331 0.5818 0.3324
O 0.2340 0.8517 0.0835
O 0.2572 0.1744 0.6292
O 0.2585 0.5115 0.6674
O 0.2905 0.8933 0.3951
O 0.4417 0.2688 0.8492
O 0.4554 0.7954 0.7339
O 0.5446 0.2046 0.2661
O 0.5583 0.7312 0.1508
O 0.7095 0.1067 0.6049
O 0.7415 0.4885 0.3326
O 0.7428 0.8256 0.3708
O 0.7660 0.1483 0.9165
O 0.7669 0.4182 0.6676
O 0.9257 0.7119 0.0629



Mg5Si9: theoretical powder XRD pattern (CuKα), based on the GGA-PBE geometry in the Materials Project.
Peak positions follow from Bragg's law for the DFT cell and can differ from measured ones.

Peak list (8 most intense, 10° ≤ 2θ ≤ 90°, in order of rising 2θ)
| d (Å) | intensity |
| --- | --- |
| 2.627 | 66 |
| 2.486 | 100 |
| 2.471 | 58 |
| 2.446 | 92 |
| 2.401 | 84 |
| 2.365 | 59 |
| 2.238 | 83 |
| 2.229 | 43 |

Cell: 7.5870 7.6399 10.0098 Å, 78.81 88.87 60.66°
Fractional coordinates of all 28 atoms:
Mg 0.0000 0.0000 0.0000
Mg 0.0403 0.1517 0.5536
Mg 0.1431 0.8175 0.3135
Mg 0.2260 0.2209 0.0599
Mg 0.4277 0.7477 0.7175
Mg 0.5596 0.4596 0.4795
Mg 0.6410 0.8649 0.9433
Mg 0.6898 0.9716 0.2168
Mg 0.8230 0.3010 0.2250
Mg 0.9040 0.5359 0.6791
Si 0.0264 0.6095 0.1556
Si 0.1099 0.6454 0.9189
Si 0.1297 0.7178 0.5898
Si 0.2253 0.3892 0.4809
Si 0.2372 0.1324 0.7979
Si 0.2975 0.0989 0.3460
Si 0.3298 0.3975 0.7857
Si 0.3777 0.3755 0.2592
Si 0.4302 0.6466 0.0011
Si 0.4909 0.7521 0.2016
Si 0.5204 0.0900 0.6418
Si 0.5673 0.2852 0.9979
Si 0.6112 0.8430 0.4799
Si 0.7000 0.2943 0.7584
Si 0.7947 0.0313 0.4575
Si 0.8053 0.4339 0.9367
Si 0.8470 0.5640 0.3617
Si 0.8761 0.9306 0.7441